Computed powder XRD pattern of DyY4Tm3 for Cu Kα (λ = 1.5418 Å), from a cell relaxed with GGA-PBE.

Largest 10 diffraction maxima, most intense first, 10° ≤ 2θ ≤ 80°:
2θ/deg, d_spacing, I/Imax, hkl
32.8, 2.733, 100, 2 0 2
28.5, 3.131, 24, 0 2 1
32.0, 2.798, 24, 4 0 0
57.5, 1.603, 20, 6 0 2
43.4, 2.087, 17, 4 2 1
61.1, 1.518, 15, 4 2 3
50.5, 1.807, 13, 0 2 3
61.5, 1.509, 11, 2 4 2
12.2, 7.242, 10, 0 1 0
60.9, 1.520, 7, 4 4 0

Structure:
```
data_DyY4Tm3
_chemical_formula_sum 'Dy2 Y8 Tm6'
_cell_length_a 11.192
_cell_length_b 7.242
_cell_length_c 6.254
_cell_angle_alpha 90.00
_cell_angle_beta 90.00
_cell_angle_gamma 90.00
_symmetry_space_group_name_H-M 'P m n 21'
_symmetry_Int_Tables_number 31
_symmetry_space_group_name_Hall 'P 2ac -2'
loop_
_atom_site_label
_atom_site_type_symbol
_atom_site_fract_x
_atom_site_fract_y
_atom_site_fract_z
Dy1 Dy 0.000 0.122 0.000
Y1 Y 0.000 0.372 0.497
Y2 Y 0.000 0.627 0.996
Y3 Y 0.249 0.627 0.333
Tm1 Tm 0.000 0.877 0.500
Tm2 Tm 0.250 0.123 0.330
```



Computed powder XRD pattern of DyY6Tm8 for Cu Kα (λ = 1.5418 Å), from a cell relaxed with GGA-PBE.

Largest 10 diffraction maxima, most intense first, 10° ≤ 2θ ≤ 80°:
2θ/deg, d_spacing, I/Imax, hkl
33.1, 2.708, 100, 3 0 0
33.9, 2.647, 95, 1 1 2
32.3, 2.769, 80, 3 -2 1
26.0, 3.431, 45, 2 0 1
36.0, 2.494, 39, 3 0 1
23.5, 3.785, 29, 1 1 1
61.0, 1.518, 26, 2 -1 4
51.0, 1.790, 22, 2 3 1
53.6, 1.709, 22, 1 4 1
30.0, 2.982, 20, 1 0 2

Structure:
```
data_DyY6Tm8
_chemical_formula_sum 'Dy1 Y6 Tm8'
_cell_length_a 9.3797
_cell_length_b 9.3797
_cell_length_c 6.4125
_cell_angle_alpha 90.00
_cell_angle_beta 90.00
_cell_angle_gamma 120.00
_symmetry_space_group_name_H-M 'P -3'
_symmetry_Int_Tables_number 147
_symmetry_space_group_name_Hall '-P 3'
loop_
_atom_site_label
_atom_site_type_symbol
_atom_site_fract_x
_atom_site_fract_y
_atom_site_fract_z
Dy1 Dy 0.0000 0.0000 0.0000
Y1 Y 0.1037 0.6839 0.9114
Tm1 Tm 0.0207 0.3340 0.5927
Tm2 Tm 0.3333 0.6667 0.3528
```



Computed powder XRD pattern of Dy2Y4Tm for Cu Kα (λ = 1.5418 Å), from a cell relaxed with GGA-PBE.

Largest 10 diffraction maxima, most intense first, 10° ≤ 2θ ≤ 80°:
2θ/deg, d_spacing, I/Imax, hkl
31.6, 2.832, 100, 1 0 3
34.0, 2.637, 48, 2 1 0
32.9, 2.719, 47, 1 2 -2
30.1, 2.966, 33, 2 0 -1
26.6, 3.349, 31, 0 2 0
31.1, 2.880, 31, 0 2 2
41.8, 2.163, 26, 1 2 3
28.2, 3.165, 25, 1 1 -3
64.7, 1.441, 25, 1 4 3
30.9, 2.892, 19, 1 2 0

Structure:
```
data_Dy2Y4Tm
_chemical_formula_sum 'Dy4 Y8 Tm2'
_cell_length_a 5.932
_cell_length_b 6.698
_cell_length_c 11.659
_cell_angle_alpha 90.00
_cell_angle_beta 104.63
_cell_angle_gamma 90.00
_symmetry_space_group_name_H-M 'P 1 21/m 1'
_symmetry_Int_Tables_number 11
_symmetry_space_group_name_Hall '-P 2yb'
loop_
_atom_site_label
_atom_site_type_symbol
_atom_site_fract_x
_atom_site_fract_y
_atom_site_fract_z
Dy1 Dy 0.088 0.250 0.493
Dy2 Dy 0.333 0.750 0.060
Y1 Y 0.155 0.003 0.790
Y2 Y 0.232 0.250 0.075
Y3 Y 0.360 0.750 0.345
Tm1 Tm 0.489 0.750 0.644
```



Computed powder XRD pattern of DyY7Tm2 for Cu Kα (λ = 1.5418 Å), from a cell relaxed with GGA-PBE.

Largest 10 diffraction maxima, most intense first, 10° ≤ 2θ ≤ 80°:
2θ/deg, d_spacing, I/Imax, hkl
30.8, 2.900, 100, 1 3 1
30.2, 2.959, 95, 0 10 0
31.5, 2.841, 75, 2 4 0
36.4, 2.465, 58, 1 7 1
34.4, 2.610, 49, 2 6 0
33.0, 2.717, 48, 1 5 -1
30.6, 2.921, 44, 1 3 -1
36.3, 2.478, 32, 1 7 -1
29.4, 3.042, 26, 1 1 -1
69.7, 1.350, 25, 2 10 2

Structure:
```
data_DyY7Tm2
_chemical_formula_sum 'Dy2 Y14 Tm4'
_cell_length_a 6.153
_cell_length_b 29.591
_cell_length_c 3.506
_cell_angle_alpha 90.00
_cell_angle_beta 90.51
_cell_angle_gamma 90.00
_symmetry_space_group_name_H-M 'C 1 2/m 1'
_symmetry_Int_Tables_number 12
_symmetry_space_group_name_Hall '-C 2y'
loop_
_atom_site_label
_atom_site_type_symbol
_atom_site_fract_x
_atom_site_fract_y
_atom_site_fract_z
Dy1 Dy 0.000 0.000 0.000
Y1 Y 0.000 0.305 0.000
Y2 Y 0.000 0.500 0.500
Y3 Y 0.246 0.101 0.263
Tm1 Tm 0.000 0.206 0.500
```



Computed powder XRD pattern of DyY12Tm3 for Cu Kα (λ = 1.5418 Å), from a cell relaxed with GGA-PBE.

Largest 10 diffraction maxima, most intense first, 10° ≤ 2θ ≤ 80°:
2θ/deg, d_spacing, I/Imax, hkl
30.8, 2.902, 100, 1 1 4
35.7, 2.513, 50, 2 0 0
61.2, 1.516, 41, 3 1 4
51.4, 1.777, 35, 2 2 0
64.2, 1.451, 12, 2 2 8
17.6, 5.026, 8, 1 0 0
25.1, 3.554, 7, 1 1 0
75.7, 1.257, 5, 4 0 0
40.1, 2.248, 4, 2 1 0
44.1, 2.052, 3, 2 1 4

Structure:
```
data_DyY12Tm3
_chemical_formula_sum 'Dy1 Y12 Tm3'
_cell_length_a 5.026
_cell_length_b 5.026
_cell_length_c 20.111
_cell_angle_alpha 90.00
_cell_angle_beta 90.00
_cell_angle_gamma 90.00
_symmetry_space_group_name_H-M 'P 4/m m m'
_symmetry_Int_Tables_number 123
_symmetry_space_group_name_Hall '-P 4 2'
loop_
_atom_site_label
_atom_site_type_symbol
_atom_site_fract_x
_atom_site_fract_y
_atom_site_fract_z
Dy1 Dy 0.000 0.000 0.000
Y1 Y 0.000 0.500 0.126
Y2 Y 0.000 0.500 0.375
Y3 Y 0.500 0.500 0.000
Y4 Y 0.500 0.500 0.250
Y5 Y 0.500 0.500 0.500
Tm1 Tm 0.000 0.000 0.250
Tm2 Tm 0.000 0.000 0.500
```



Computed powder XRD pattern of Dy8Y3Tm2 for Cu Kα (λ = 1.5418 Å), from a cell relaxed with GGA-PBE.

Largest 10 diffraction maxima, most intense first, 10° ≤ 2θ ≤ 80°:
2θ/deg, d_spacing, I/Imax, hkl
33.6, 2.669, 100, 2 4 1
31.9, 2.804, 42, 0 0 2
31.2, 2.869, 36, 0 6 1
29.8, 2.998, 28, 1 5 1
25.0, 3.564, 23, 2 2 0
57.9, 1.592, 21, 2 4 3
61.9, 1.499, 14, 2 10 2
40.9, 2.204, 13, 2 2 2
28.3, 3.154, 12, 2 0 1
17.7, 5.011, 11, 0 4 0

Structure:
```
data_Dy8Y3Tm2
_chemical_formula_sum 'Dy16 Y6 Tm4'
_cell_length_a 7.627
_cell_length_b 20.034
_cell_length_c 5.609
_cell_angle_alpha 90.00
_cell_angle_beta 90.00
_cell_angle_gamma 90.00
_symmetry_space_group_name_H-M 'C m m m'
_symmetry_Int_Tables_number 65
_symmetry_space_group_name_Hall '-C 2 2'
loop_
_atom_site_label
_atom_site_type_symbol
_atom_site_fract_x
_atom_site_fract_y
_atom_site_fract_z
Dy1 Dy 0.000 0.134 0.000
Dy2 Dy 0.000 0.331 0.000
Dy3 Dy 0.210 0.391 0.500
Y1 Y 0.000 0.000 0.500
Y2 Y 0.215 0.500 0.000
Tm1 Tm 0.000 0.241 0.500
```



Computed powder XRD pattern of Dy3Y7Tm2 for Cu Kα (λ = 1.5418 Å), from a cell relaxed with GGA-PBE.

Largest 10 diffraction maxima, most intense first, 10° ≤ 2θ ≤ 80°:
2θ/deg, d_spacing, I/Imax, hkl
33.0, 2.718, 100, 1 1 3
32.2, 2.777, 78, 2 0 3
31.3, 2.860, 51, 0 0 6
28.9, 3.089, 34, 1 1 0
62.3, 1.491, 24, 2 2 3
50.2, 1.817, 22, 3 1 0
56.7, 1.622, 19, 1 1 9
15.5, 5.719, 16, 0 0 3
60.4, 1.532, 15, 3 1 6
61.7, 1.503, 14, 0 2 6

Structure:
```
data_Dy3Y7Tm2
_chemical_formula_sum 'Dy3 Y7 Tm2'
_cell_length_a 6.355
_cell_length_b 3.535
_cell_length_c 17.158
_cell_angle_alpha 90.00
_cell_angle_beta 90.18
_cell_angle_gamma 90.00
_symmetry_space_group_name_H-M 'P 1 2/m 1'
_symmetry_Int_Tables_number 10
_symmetry_space_group_name_Hall '-P 2y'
loop_
_atom_site_label
_atom_site_type_symbol
_atom_site_fract_x
_atom_site_fract_y
_atom_site_fract_z
Dy1 Dy 0.000 0.000 0.000
Dy2 Dy 0.498 0.500 0.658
Y1 Y 0.176 0.500 0.166
Y2 Y 0.255 0.000 0.503
Y3 Y 0.324 0.000 0.831
Y4 Y 0.500 0.500 0.000
Tm1 Tm 0.008 0.000 0.326
```



Computed powder XRD pattern of Dy3Y2Tm8 for Cu Kα (λ = 1.5418 Å), from a cell relaxed with GGA-PBE.

Largest 10 diffraction maxima, most intense first, 10° ≤ 2θ ≤ 80°:
2θ/deg, d_spacing, I/Imax, hkl
31.4, 2.853, 100, 1 2 1
32.4, 2.766, 49, 2 0 0
32.7, 2.739, 44, 1 0 7
32.1, 2.788, 42, 1 1 6
24.2, 3.684, 34, 0 0 6
40.8, 2.212, 18, 2 0 6
57.1, 1.613, 17, 3 2 1
37.3, 2.410, 17, 1 2 5
49.3, 1.848, 15, 2 2 6
64.8, 1.439, 14, 2 4 0

Structure:
```
data_Dy3Y2Tm8
_chemical_formula_sum 'Dy6 Y4 Tm16'
_cell_length_a 5.531
_cell_length_b 6.737
_cell_length_c 22.070
_cell_angle_alpha 90.00
_cell_angle_beta 90.00
_cell_angle_gamma 90.00
_symmetry_space_group_name_H-M 'I m m m'
_symmetry_Int_Tables_number 71
_symmetry_space_group_name_Hall '-I 2 2'
loop_
_atom_site_label
_atom_site_type_symbol
_atom_site_fract_x
_atom_site_fract_y
_atom_site_fract_z
Dy1 Dy 0.000 0.000 0.000
Dy2 Dy 0.000 0.234 0.500
Y1 Y 0.000 0.500 0.223
Tm1 Tm 0.000 0.000 0.184
Tm2 Tm 0.000 0.239 0.348
Tm3 Tm 0.000 0.500 0.075
```



Computed powder XRD pattern of Dy3Y2Tm3 for Cu Kα (λ = 1.5418 Å), from a cell relaxed with GGA-PBE.

Largest 10 diffraction maxima, most intense first, 10° ≤ 2θ ≤ 80°:
2θ/deg, d_spacing, I/Imax, hkl
32.8, 2.728, 100, 1 0 2
28.6, 3.125, 24, 0 4 1
32.0, 2.798, 24, 2 0 0
61.1, 1.516, 22, 2 8 0
57.5, 1.602, 20, 3 0 -2
50.6, 1.804, 20, 0 8 0
61.6, 1.505, 16, 1 8 2
43.4, 2.084, 16, 2 4 -1
68.8, 1.364, 3, 2 0 -4
59.1, 1.562, 3, 0 0 4

Structure:
```
data_Dy3Y2Tm3
_chemical_formula_sum 'Dy6 Y4 Tm6'
_cell_length_a 5.596
_cell_length_b 14.442
_cell_length_c 6.245
_cell_angle_alpha 90.00
_cell_angle_beta 90.06
_cell_angle_gamma 90.00
_symmetry_space_group_name_H-M 'P 1 21/m 1'
_symmetry_Int_Tables_number 11
_symmetry_space_group_name_Hall '-P 2yb'
loop_
_atom_site_label
_atom_site_type_symbol
_atom_site_fract_x
_atom_site_fract_y
_atom_site_fract_z
Dy1 Dy 0.250 0.125 0.170
Dy2 Dy 0.250 0.750 0.663
Y1 Y 0.250 0.624 0.165
Tm1 Tm 0.250 0.000 0.665
Tm2 Tm 0.250 0.250 0.667
```



Computed powder XRD pattern of Dy2Y4Tm for Cu Kα (λ = 1.5418 Å), from a cell relaxed with GGA-PBE.

Largest 10 diffraction maxima, most intense first, 10° ≤ 2θ ≤ 80°:
2θ/deg, d_spacing, I/Imax, hkl
31.7, 2.825, 100, 2 0 2
31.3, 2.861, 48, 3 1 0
32.8, 2.731, 45, 6 0 -1
33.1, 2.709, 40, 1 1 -2
30.0, 2.982, 35, 3 1 -1
61.7, 1.503, 29, 2 2 2
12.2, 7.255, 22, 2 0 0
25.8, 3.448, 20, 1 1 0
48.1, 1.892, 17, 7 1 -3
62.4, 1.488, 14, 6 2 -1

Structure:
```
data_Dy2Y4Tm
_chemical_formula_sum 'Dy4 Y8 Tm2'
_cell_length_a 16.724
_cell_length_b 3.549
_cell_length_c 8.696
_cell_angle_alpha 90.00
_cell_angle_beta 119.81
_cell_angle_gamma 90.00
_symmetry_space_group_name_H-M 'C 1 2/m 1'
_symmetry_Int_Tables_number 12
_symmetry_space_group_name_Hall '-C 2y'
loop_
_atom_site_label
_atom_site_type_symbol
_atom_site_fract_x
_atom_site_fract_y
_atom_site_fract_z
Dy1 Dy 0.070 0.000 0.430
Y1 Y 0.141 0.500 0.836
Y2 Y 0.204 0.500 0.293
Tm1 Tm 0.000 0.000 0.000
```



Computed powder XRD pattern of Dy3Y5Tm2 for Cu Kα (λ = 1.5418 Å), from a cell relaxed with GGA-PBE.

Largest 10 diffraction maxima, most intense first, 10° ≤ 2θ ≤ 80°:
2θ/deg, d_spacing, I/Imax, hkl
30.7, 2.911, 100, 2 2 1
30.4, 2.944, 68, 2 4 0
33.5, 2.672, 43, 4 0 -2
32.4, 2.766, 29, 0 4 2
38.0, 2.370, 26, 2 6 -1
61.1, 1.517, 22, 4 6 1
20.0, 4.432, 21, 2 2 -1
47.3, 1.922, 21, 4 4 0
38.8, 2.319, 20, 2 0 2
58.0, 1.591, 19, 4 8 -2

Structure:
```
data_Dy3Y5Tm2
_chemical_formula_sum 'Dy12 Y20 Tm8'
_cell_length_a 10.688
_cell_length_b 15.862
_cell_length_c 9.389
_cell_angle_alpha 90.00
_cell_angle_beta 124.68
_cell_angle_gamma 90.00
_symmetry_space_group_name_H-M 'C 1 2/c 1'
_symmetry_Int_Tables_number 15
_symmetry_space_group_name_Hall '-C 2yc'
loop_
_atom_site_label
_atom_site_type_symbol
_atom_site_fract_x
_atom_site_fract_y
_atom_site_fract_z
Dy1 Dy 0.000 0.030 0.250
Dy2 Dy 0.148 0.379 0.546
Y1 Y 0.000 0.230 0.250
Y2 Y 0.000 0.270 0.750
Y3 Y 0.000 0.471 0.750
Y4 Y 0.247 0.113 0.747
Tm1 Tm 0.148 0.119 0.047
```



Computed powder XRD pattern of Dy4Y2Tm7 for Cu Kα (λ = 1.5418 Å), from a cell relaxed with GGA-PBE.

Largest 10 diffraction maxima, most intense first, 10° ≤ 2θ ≤ 80°:
2θ/deg, d_spacing, I/Imax, hkl
31.1, 2.872, 100, 2 1 0
36.1, 2.487, 51, 1 3 2
61.9, 1.499, 28, 4 0 1
52.0, 1.758, 24, 0 3 5
61.8, 1.501, 14, 0 1 6
65.0, 1.435, 9, 4 2 0
51.9, 1.761, 6, 1 -1 4
52.1, 1.756, 6, 3 2 3
76.7, 1.242, 4, 4 -2 2
64.9, 1.437, 3, 0 4 -2

Structure:
```
data_Dy4Y2Tm7
_chemical_formula_sum 'Dy4 Y2 Tm7'
_cell_length_a 6.084
_cell_length_b 7.860
_cell_length_c 9.313
_cell_angle_alpha 65.10
_cell_angle_beta 83.81
_cell_angle_gamma 82.58
_symmetry_space_group_name_H-M 'P -1'
_symmetry_Int_Tables_number 2
_symmetry_space_group_name_Hall '-P 1'
loop_
_atom_site_label
_atom_site_type_symbol
_atom_site_fract_x
_atom_site_fract_y
_atom_site_fract_z
Dy1 Dy 0.036 0.422 0.347
Dy2 Dy 0.192 0.115 0.730
Y1 Y 0.345 0.807 0.115
Tm1 Tm 0.116 0.271 0.039
Tm2 Tm 0.269 0.962 0.423
Tm3 Tm 0.424 0.655 0.807
Tm4 Tm 0.500 0.500 0.500
```